(1)
Theoretical powder diffraction line list
Compound: LiH12AuC4S4O12
Radiation: copper Kα
Structure: the PBE geometry in Alexandria
Lines closer than 0.1° are merged.

Top 8 peaks for 2θ from 15° to 90°, low angle first:
index	2θ (°)	I/Imax
1 1 2	22.5	100
2 2 0	26.1	30
3 1 0	29.2	33
1 2 3	34.7	60
1 1 4	39.5	37
4 2 0	41.8	27
1 5 0	48.0	32
1 5 2	51.8	17

Atomic structure:
Cell: 9.661 9.661 9.681 Å, 90.00 90.00 90.00°
Space group I-4 (No. 82)
Symmetry-distinct sites (fractional):
Li (0.000, 0.000, 0.000)
H (0.095, 0.280, 0.589)
H (0.126, 0.870, 0.311)
H (0.142, 0.294, 0.770)
Au (0.000, 0.500, 0.250)
C (0.156, 0.235, 0.674)
S (0.168, 0.257, 0.125)
O (0.087, 0.308, 0.256)
O (0.112, 0.868, 0.892)
O (0.143, 0.350, 0.010)

***

(2)
Theoretical powder diffraction line list
Compound: Cs8B3Se8
Radiation: copper Kα
Structure: the PBE geometry in Alexandria
Lines closer than 0.1° are merged.

Top 8 peaks for 2θ from 15° to 90°, low angle first:
index	2θ (°)	I/Imax
4 0 1	19.8	35
5 1 -1	21.8	26
0 2 0	24.8	100
2 0 -3	26.7	27
4 0 2	27.3	64
8 0 -1	28.2	36
4 2 2	37.2	56
8 2 -1	37.9	32

Atomic structure:
Cell: 25.279 7.186 10.018 Å, 90.00 108.22 90.00°
Space group C2/m (No. 12)
Symmetry-distinct sites (fractional):
Cs (0.026, 0.000, 0.250)
Cs (0.124, 0.500, 0.960)
Cs (0.173, 0.500, 0.464)
Cs (0.197, 0.000, 0.786)
B (0.000, 0.500, 0.500)
B (0.182, 0.000, 0.194)
Se (0.012, 0.500, 0.327)
Se (0.114, 0.000, 0.026)
Se (0.176, 0.000, 0.385)
Se (0.243, 0.500, 0.834)

***

(3)
Theoretical powder diffraction line list
Compound: Er3InAg4
Radiation: copper Kα
Structure: the PBE geometry in Alexandria
Lines closer than 0.1° are merged.

Top 8 peaks for 2θ from 15° to 90°, low angle first:
index	2θ (°)	I/Imax
1 1 2	31.4	97
0 2 4	35.0	100
1 0 5	35.9	31
0 0 8	39.5	51
1 2 3	42.0	19
1 1 6	42.3	30
1 3 2	52.7	22
2 2 4	65.5	31

Atomic structure:
Cell: 3.432 6.189 18.252 Å, 90.00 90.00 90.00°
Space group Immm (No. 71)
Symmetry-distinct sites (fractional):
Er (0.000, 0.000, 0.000)
Er (0.000, 0.500, 0.228)
In (0.000, 0.000, 0.500)
Ag (0.000, 0.271, 0.375)

***

(4)
Theoretical powder diffraction line list
Compound: Pr4NdSn3
Radiation: copper Kα
Structure: the PBE geometry in Alexandria
Lines closer than 0.1° are merged.

Top 8 peaks for 2θ from 15° to 90°, low angle first:
index	2θ (°)	I/Imax
0 0 2	28.5	21
3 2 1	29.2	61
4 2 0	31.6	67
2 0 2	31.9	50
4 1 1	32.5	100
2 2 2	34.9	38
4 1 3	53.0	25
6 4 2	60.5	22

Atomic structure:
Cell: 12.648 12.648 6.272 Å, 90.00 90.00 90.00°
Space group I4/mcm (No. 140)
Symmetry-distinct sites (fractional):
Pr (0.083, 0.218, 0.000)
Nd (0.000, 0.500, 0.250)
Sn (0.000, 0.000, 0.250)
Sn (0.160, 0.340, 0.500)

***

(5)
Theoretical powder diffraction line list
Compound: LiAc2CeO6
Radiation: copper Kα
Structure: the PBE geometry in Alexandria
Lines closer than 0.1° are merged.

Top 8 peaks for 2θ from 15° to 90°, low angle first:
index	2θ (°)	I/Imax
0 0 2	20.3	32
1 1 -1	20.9	47
1 1 1	28.7	100
0 2 0	29.5	37
1 1 -3	29.9	93
2 0 -2	30.0	40
2 2 -2	42.5	36
3 1 -1	51.7	30

Atomic structure:
Cell: 5.972 6.064 10.335 Å, 90.00 122.14 90.00°
Space group P2_1/c (No. 14)
Symmetry-distinct sites (fractional):
Li (0.000, 0.000, 0.000)
Ac (0.215, 0.050, 0.742)
Ce (0.500, 0.000, 0.500)
O (0.152, 0.205, 0.444)
O (0.210, 0.716, 0.424)
O (0.384, 0.053, 0.261)

***

(6)
Theoretical powder diffraction line list
Compound: SrB3Pt6
Radiation: copper Kα
Structure: the PBE geometry in Alexandria
Lines closer than 0.1° are merged.

Top 8 peaks for 2θ from 15° to 90°, low angle first:
index	2θ (°)	I/Imax
-1 1 1	31.5	31
0 2 -1	31.8	62
1 -2 1	33.3	26
2 0 0	34.1	90
0 2 -2	36.4	100
0 2 0	37.7	32
2 1 -2	42.7	30
1 2 0	46.2	31

Atomic structure:
Cell: 5.592 5.723 5.725 Å, 119.25 99.94 99.72°
Space group P1 (No. 1)
Symmetry-distinct sites (fractional):
Sr (0.000, 0.000, 0.000)
B (0.458, 0.810, 0.809)
B (0.780, 0.248, 0.586)
B (0.780, 0.587, 0.248)
Pt (0.056, 0.011, 0.509)
Pt (0.056, 0.509, 0.011)
Pt (0.086, 0.532, 0.532)
Pt (0.538, 0.210, 0.839)
Pt (0.538, 0.840, 0.209)
Pt (0.560, 0.476, 0.475)

***

(7)
Theoretical powder diffraction line list
Compound: LiCePmOs
Radiation: copper Kα
Structure: the PBE geometry in Alexandria
Lines closer than 0.1° are merged.

Top 8 peaks for 2θ from 15° to 90°, low angle first:
index	2θ (°)	I/Imax
1 1 1	21.8	34
2 2 0	35.9	100
3 1 1	42.4	18
4 0 0	51.7	18
3 3 1	56.8	8
4 2 2	64.6	36
4 4 0	76.2	11
6 2 0	87.2	16

Atomic structure:
Cell: 7.070 7.070 7.070 Å, 90.00 90.00 90.00°
Space group F-43m (No. 216)
Symmetry-distinct sites (fractional):
Li (0.000, 0.000, 0.000)
Ce (0.250, 0.250, 0.250)
Pm (0.250, 0.250, 0.750)
Os (0.000, 0.000, 0.500)

***

(8)
Theoretical powder diffraction line list
Compound: Sm4Sb2Ir
Radiation: copper Kα
Structure: the PBE geometry in Alexandria
Lines closer than 0.1° are merged.

Top 8 peaks for 2θ from 15° to 90°, low angle first:
index	2θ (°)	I/Imax
1 1 1	26.8	100
3 1 -1	27.0	41
4 0 -2	27.2	37
2 0 2	34.9	76
5 1 -1	35.2	77
0 2 0	41.5	39
3 1 -3	41.7	64
2 2 2	55.3	23

Atomic structure:
Cell: 15.775 4.353 7.483 Å, 90.00 117.48 90.00°
Space group C2/m (No. 12)
Symmetry-distinct sites (fractional):
Sm (0.115, 0.000, 0.421)
Sm (0.117, 0.500, 0.983)
Sb (0.230, 0.500, 0.731)
Ir (0.000, 0.000, 0.000)

***

(9)
Theoretical powder diffraction line list
Compound: Tm3TlSb2
Radiation: copper Kα
Structure: the PBE geometry in Alexandria
Lines closer than 0.1° are merged.

Top 8 peaks for 2θ from 15° to 90°, low angle first:
index	2θ (°)	I/Imax
2 0 2	29.0	100
0 2 0	29.1	50
6 0 0	40.1	20
2 2 2	41.6	76
2 0 -4	42.9	18
6 2 0	50.3	21
2 2 -4	52.7	19
2 4 2	68.4	17

Atomic structure:
Cell: 14.134 6.127 8.427 Å, 90.00 107.33 90.00°
Space group C2/c (No. 15)
Symmetry-distinct sites (fractional):
Tm (0.000, 0.001, 0.250)
Tm (0.176, 0.500, 0.088)
Tl (0.000, 0.500, 0.250)
Sb (0.164, 0.000, 0.082)